Structure and computed PXRD pattern of SrGe2 (a cell relaxed with GGA-PBE; Cu Kα, 1.54184 Å).
Lines closer than 0.1° are merged.

Largest 10 diffraction maxima, sorted by position, 15° ≤ 2θ ≤ 90°:
d 2.966, 2θ = 30.1°, rel. 1000
d 2.600, 2θ = 34.5°, rel. 81
d 2.110, 2θ = 42.9°, rel. 255
d 2.085, 2θ = 43.4°, rel. 370
d 1.706, 2θ = 53.7°, rel. 192
d 1.626, 2θ = 56.6°, rel. 114
d 1.562, 2θ = 59.1°, rel. 105
d 1.483, 2θ = 62.6°, rel. 81
d 1.320, 2θ = 71.5°, rel. 162
d 1.208, 2θ = 79.3°, rel. 82

Structure:
Lattice parameters (Å, degrees): 4.170 4.170 5.199 90.00 90.00 120.00
Fractional coordinates of all 3 atoms:
Sr  0.000  0.000  0.000
Ge  0.333  0.667  0.597
Ge  0.667  0.333  0.403



Structure and computed PXRD pattern of Sr2Ge (a cell relaxed with GGA-PBE; Cu Kα, 1.54184 Å).
Lines closer than 0.1° are merged.

Largest 10 diffraction maxima, sorted by position, 15° ≤ 2θ ≤ 90°:
d 3.250, 2θ = 27.4°, rel. 873
d 3.216, 2θ = 27.7°, rel. 329
d 3.126, 2θ = 28.6°, rel. 220
d 3.052, 2θ = 29.3°, rel. 1000
d 3.002, 2θ = 29.8°, rel. 222
d 2.741, 2θ = 32.7°, rel. 598
d 2.627, 2θ = 34.1°, rel. 244
d 2.598, 2θ = 34.5°, rel. 631
d 2.378, 2θ = 37.8°, rel. 193
d 1.710, 2θ = 53.6°, rel. 246

Structure:
Lattice parameters (Å, degrees): 8.189 5.196 9.678 90.00 90.00 90.00
Fractional coordinates of all 12 atoms:
Sr  0.018  0.250  0.174
Sr  0.151  0.250  0.578
Sr  0.349  0.750  0.078
Sr  0.482  0.750  0.674
Sr  0.518  0.250  0.326
Sr  0.651  0.250  0.922
Sr  0.849  0.750  0.422
Sr  0.982  0.750  0.826
Ge  0.248  0.750  0.398
Ge  0.252  0.250  0.898
Ge  0.748  0.750  0.102
Ge  0.752  0.250  0.602



Structure and computed PXRD pattern of SrZn2Ge2 (a cell relaxed with GGA-PBE; Cu Kα, 1.54184 Å).
Lines closer than 0.1° are merged.

Largest 10 diffraction maxima, sorted by position, 15° ≤ 2θ ≤ 90°:
d 2.770, 2θ = 32.3°, rel. 640
d 2.709, 2θ = 33.1°, rel. 1000
d 2.228, 2θ = 40.5°, rel. 724
d 2.029, 2θ = 44.7°, rel. 312
d 1.916, 2θ = 47.5°, rel. 270
d 1.736, 2θ = 52.7°, rel. 313
d 1.576, 2θ = 58.6°, rel. 236
d 1.453, 2θ = 64.1°, rel. 216
d 1.362, 2θ = 68.9°, rel. 222
d 1.140, 2θ = 85.1°, rel. 159

Structure:
Lattice parameters (Å, degrees): 6.171 6.171 6.171 137.66 137.66 61.42
Fractional coordinates of all 5 atoms:
Sr  0.000  0.000  0.000
Zn  0.250  0.750  0.500
Zn  0.750  0.250  0.500
Ge  0.379  0.379  0.000
Ge  0.621  0.621  0.000



Structure and computed PXRD pattern of Ta5Ge3 (a cell relaxed with GGA-PBE; Cu Kα, 1.54184 Å).
Lines closer than 0.1° are merged.

Largest 10 diffraction maxima, sorted by position, 15° ≤ 2θ ≤ 90°:
d 2.897, 2θ = 30.9°, rel. 153
d 2.549, 2θ = 35.2°, rel. 164
d 2.400, 2θ = 37.5°, rel. 1000
d 2.242, 2θ = 40.2°, rel. 211
d 2.110, 2θ = 42.9°, rel. 425
d 2.019, 2θ = 44.9°, rel. 146
d 1.502, 2θ = 61.8°, rel. 137
d 1.459, 2θ = 63.8°, rel. 142
d 1.396, 2θ = 67.1°, rel. 100
d 1.184, 2θ = 81.2°, rel. 139

Structure:
Lattice parameters (Å, degrees): 7.678 7.678 7.678 128.50 128.50 75.82
Fractional coordinates of all 16 atoms:
Ta  0.000  0.000  0.000
Ta  0.006  0.506  0.821
Ta  0.185  0.006  0.500
Ta  0.315  0.815  0.821
Ta  0.494  0.315  0.500
Ta  0.500  0.500  0.000
Ta  0.506  0.685  0.500
Ta  0.685  0.185  0.179
Ta  0.815  0.994  0.500
Ta  0.994  0.494  0.179
Ge  0.136  0.364  0.500
Ge  0.250  0.250  0.000
Ge  0.364  0.864  0.227
Ge  0.636  0.136  0.773
Ge  0.750  0.750  0.000
Ge  0.864  0.636  0.500